KLaHfCrO6: theoretical powder X-ray diffraction pattern (a wavelength of 1.5418 Å), based on a DFT-relaxed cell (PBE+U, the Materials Project).
Kinematic intensities with the Lorentz-polarization factor, no thermal factor.

Atomic structure:
```
data_KLaHfCrO6
_chemical_formula_sum 'K4 La4 Hf4 Cr4 O24'
_symmetry_space_group_name_H-M 'F -4 3 m'
_symmetry_Int_Tables_number 216
_symmetry_space_group_name_Hall 'F -4 2 3'
_cell_length_a 8.001
_cell_length_b 8.001
_cell_length_c 8.001
_cell_angle_alpha 90.00
_cell_angle_beta 90.00
_cell_angle_gamma 90.00
loop_
_atom_site_label
_atom_site_type_symbol
_atom_site_fract_x
_atom_site_fract_y
_atom_site_fract_z
K1 K 0.000 0.000 0.000
La1 La 0.000 0.000 0.500
Hf1 Hf 0.250 0.250 0.250
Cr1 Cr 0.250 0.250 0.750
O1 O 0.007 0.250 0.750
```

The 10 most intense peaks (10° ≤ 2θ ≤ 90°), sorted by position:
hkl 1 1 1, d = 4.619 Å, I = 36; hkl 2 2 0, d = 2.829 Å, I = 100; hkl 3 1 1, d = 2.412 Å, I = 23; hkl 4 0 0, d = 2.000 Å, I = 32; hkl 3 3 1, d = 1.836 Å, I = 11; hkl 4 2 2, d = 1.633 Å, I = 39; hkl 3 3 3, d = 1.540 Å, I = 8; hkl 4 4 0, d = 1.414 Å, I = 19; hkl 5 3 1, d = 1.352 Å, I = 8; hkl 6 2 0, d = 1.265 Å, I = 17

---

HfMg14CrO16: theoretical powder X-ray diffraction pattern (a wavelength of 1.5418 Å), based on a DFT-relaxed cell (PBE+U, the Materials Project).
Kinematic intensities with the Lorentz-polarization factor, no thermal factor.

Atomic structure:
```
data_HfMg14CrO16
_chemical_formula_sum 'Hf1 Mg14 Cr1 O16'
_symmetry_space_group_name_H-M 'P m m m'
_symmetry_Int_Tables_number 47
_cell_length_a 4.295
_cell_length_b 8.722
_cell_length_c 8.738
_cell_angle_alpha 90.00
_cell_angle_beta 90.00
_cell_angle_gamma 90.00
loop_
_symmetry_equiv_pos_as_xyz
'x,y,z'
'-x,-y,-z'
'-x,-y,z'
'x,y,-z'
'x,-y,-z'
'-x,y,z'
'-x,y,-z'
'x,-y,z'
loop_
_atom_site_label
_atom_site_type_symbol
_atom_site_fract_x
_atom_site_fract_y
_atom_site_fract_z
Hf1 Hf 0.000 0.000 0.000
Mg1 Mg 0.000 0.257 0.258
Mg2 Mg 0.000 0.500 0.000
Mg3 Mg 0.000 0.500 0.500
Mg4 Mg 0.500 0.000 0.264
Mg5 Mg 0.500 0.253 0.500
Mg6 Mg 0.500 0.258 0.000
Mg7 Mg 0.500 0.500 0.252
Cr1 Cr 0.000 0.000 0.500
O1 O 0.000 0.000 0.234
O2 O 0.000 0.254 0.000
O3 O 0.000 0.269 0.500
O4 O 0.000 0.500 0.245
O5 O 0.500 0.000 0.000
O6 O 0.500 0.000 0.500
O7 O 0.500 0.249 0.250
O8 O 0.500 0.500 0.000
O9 O 0.500 0.500 0.500
```

The 10 most intense peaks (10° ≤ 2θ ≤ 90°), sorted by position:
hkl 0 1 0, d = 8.727 Å, I = 81; hkl 0 2 0, d = 4.365 Å, I = 29; hkl 0 1 2, d = 3.905 Å, I = 31; hkl 1 1 0, d = 3.853 Å, I = 29; hkl 1 1 2, d = 2.889 Å, I = 32; hkl 1 2 2, d = 2.506 Å, I = 45; hkl 0 4 0, d = 2.182 Å, I = 100; hkl 2 0 0, d = 2.147 Å, I = 48; hkl 0 4 4, d = 1.543 Å, I = 29; hkl 2 4 0, d = 1.531 Å, I = 57

---

HfMg6CrO8: theoretical powder X-ray diffraction pattern (a wavelength of 1.5418 Å), based on a DFT-relaxed cell (PBE+U, the Materials Project).
Kinematic intensities with the Lorentz-polarization factor, no thermal factor.

Atomic structure:
```
data_HfMg6CrO8
_chemical_formula_sum 'Hf1 Mg6 Cr1 O8'
_symmetry_space_group_name_H-M 'P 4/m m m'
_symmetry_Int_Tables_number 123
_symmetry_space_group_name_Hall '-P 4 2'
_cell_length_a 4.361
_cell_length_b 4.361
_cell_length_c 9.092
_cell_angle_alpha 90.00
_cell_angle_beta 90.00
_cell_angle_gamma 90.00
loop_
_atom_site_label
_atom_site_type_symbol
_atom_site_fract_x
_atom_site_fract_y
_atom_site_fract_z
Hf1 Hf 0.000 0.000 0.000
Mg1 Mg 0.000 0.500 0.266
Mg2 Mg 0.500 0.500 0.000
Mg3 Mg 0.500 0.500 0.500
Cr1 Cr 0.000 0.000 0.500
O1 O 0.000 0.000 0.228
O2 O 0.000 0.500 0.000
O3 O 0.000 0.500 0.500
O4 O 0.500 0.500 0.253
```

The 10 most intense peaks (10° ≤ 2θ ≤ 90°), sorted by position:
hkl 0 0 2, d = 4.546 Å, I = 43; hkl 1 0 0, d = 4.361 Å, I = 76; hkl 1 0 1, d = 3.932 Å, I = 58; hkl 1 0 2, d = 3.147 Å, I = 69; hkl 1 1 0, d = 3.084 Å, I = 32; hkl 1 1 1, d = 2.921 Å, I = 32; hkl 1 1 2, d = 2.552 Å, I = 76; hkl 0 0 4, d = 2.273 Å, I = 54; hkl 2 0 0, d = 2.181 Å, I = 100; hkl 2 0 4, d = 1.574 Å, I = 62

---

HfMg14CrO16: theoretical powder X-ray diffraction pattern (a wavelength of 1.5418 Å), based on a DFT-relaxed cell (PBE+U, the Materials Project).
Kinematic intensities with the Lorentz-polarization factor, no thermal factor.

Atomic structure:
```
data_HfMg14CrO16
_chemical_formula_sum 'Hf1 Mg14 Cr1 O16'
_symmetry_space_group_name_H-M 'P 4/m m m'
_symmetry_Int_Tables_number 123
_symmetry_space_group_name_Hall '-P 4 2'
_cell_length_a 8.698
_cell_length_b 8.698
_cell_length_c 4.299
_cell_angle_alpha 90.00
_cell_angle_beta 90.00
_cell_angle_gamma 90.00
loop_
_atom_site_label
_atom_site_type_symbol
_atom_site_fract_x
_atom_site_fract_y
_atom_site_fract_z
Hf1 Hf 0.000 0.000 0.000
Mg1 Mg 0.000 0.260 0.500
Mg2 Mg 0.000 0.500 0.000
Mg3 Mg 0.252 0.500 0.500
Mg4 Mg 0.258 0.258 0.000
Cr1 Cr 0.500 0.500 0.000
O1 O 0.000 0.000 0.500
O2 O 0.000 0.248 0.000
O3 O 0.000 0.500 0.500
O4 O 0.233 0.500 0.000
O5 O 0.249 0.249 0.500
O6 O 0.500 0.500 0.500
```

The 10 most intense peaks (10° ≤ 2θ ≤ 90°), sorted by position:
hkl 1 0 0, d = 8.698 Å, I = 53; hkl 1 1 0, d = 6.151 Å, I = 53; hkl 2 0 0, d = 4.349 Å, I = 29; hkl 1 1 1, d = 3.524 Å, I = 34; hkl 2 2 1, d = 2.501 Å, I = 46; hkl 4 0 0, d = 2.175 Å, I = 100; hkl 0 0 2, d = 2.150 Å, I = 49; hkl 4 4 0, d = 1.538 Å, I = 29; hkl 4 0 2, d = 1.529 Å, I = 57; hkl 4 4 2, d = 1.251 Å, I = 26

---

HfMg6CrO8: theoretical powder X-ray diffraction pattern (a wavelength of 1.5418 Å), based on a DFT-relaxed cell (PBE+U, the Materials Project).
Kinematic intensities with the Lorentz-polarization factor, no thermal factor.

Atomic structure:
```
data_HfMg6CrO8
_chemical_formula_sum 'Hf1 Mg6 Cr1 O8'
_symmetry_space_group_name_H-M 'P 4/m m m'
_symmetry_Int_Tables_number 123
_symmetry_space_group_name_Hall '-P 4 2'
_cell_length_a 4.314
_cell_length_b 4.314
_cell_length_c 9.081
_cell_angle_alpha 90.00
_cell_angle_beta 90.00
_cell_angle_gamma 90.00
loop_
_atom_site_label
_atom_site_type_symbol
_atom_site_fract_x
_atom_site_fract_y
_atom_site_fract_z
Hf1 Hf 0.000 0.000 0.000
Mg1 Mg 0.000 0.000 0.500
Mg2 Mg 0.000 0.500 0.263
Mg3 Mg 0.500 0.500 0.500
Cr1 Cr 0.500 0.500 0.000
O1 O 0.000 0.000 0.252
O2 O 0.000 0.500 0.000
O3 O 0.000 0.500 0.500
O4 O 0.500 0.500 0.273
```

The 10 most intense peaks (10° ≤ 2θ ≤ 90°), sorted by position:
hkl 0 0 2, d = 4.540 Å, I = 45; hkl 1 0 0, d = 4.314 Å, I = 34; hkl 1 0 1, d = 3.897 Å, I = 59; hkl 1 0 2, d = 3.127 Å, I = 31; hkl 1 1 0, d = 3.050 Å, I = 32; hkl 1 1 1, d = 2.892 Å, I = 58; hkl 1 1 2, d = 2.532 Å, I = 78; hkl 0 0 4, d = 2.270 Å, I = 56; hkl 2 0 0, d = 2.157 Å, I = 100; hkl 2 0 4, d = 1.564 Å, I = 63

---

Sr2HfMgCrO6: theoretical powder X-ray diffraction pattern (a wavelength of 1.5418 Å), based on a DFT-relaxed cell (PBE+U, the Materials Project).
Kinematic intensities with the Lorentz-polarization factor, no thermal factor.

Atomic structure:
```
data_Sr2HfMgCrO6
_chemical_formula_sum 'Sr2 Hf1 Mg1 Cr1 O6'
_symmetry_space_group_name_H-M 'P 1'
_symmetry_Int_Tables_number 1
_cell_length_a 5.397
_cell_length_b 5.635
_cell_length_c 6.334
_cell_angle_alpha 116.00
_cell_angle_beta 109.18
_cell_angle_gamma 90.41
loop_
_symmetry_equiv_pos_as_xyz
'x,y,z'
loop_
_atom_site_label
_atom_site_type_symbol
_atom_site_fract_x
_atom_site_fract_y
_atom_site_fract_z
Sr1 Sr 0.000 0.000 0.000
Sr2 Sr 0.375 0.430 0.852
Hf1 Hf 0.187 0.720 0.427
Mg1 Mg 0.687 0.721 0.426
Cr1 Cr 0.687 0.218 0.427
O1 O 0.390 0.397 0.279
O2 O 0.392 0.886 0.270
O3 O 0.529 0.884 0.738
O4 O 0.844 0.575 0.117
O5 O 0.982 0.550 0.579
O6 O 0.985 0.043 0.581
```

The 10 most intense peaks (10° ≤ 2θ ≤ 90°), sorted by position:
hkl 0 0 1, d = 5.291 Å, I = 27; hkl 1 0 0, d = 5.016 Å, I = 37; hkl 0 1 0, d = 4.974 Å, I = 46; hkl 1 1 0, d = 3.260 Å, I = 100; hkl -1 1 1, d = 3.028 Å, I = 66; hkl 1 1 -2, d = 3.003 Å, I = 86; hkl 0 2 -1, d = 2.817 Å, I = 55; hkl 2 0 -1, d = 2.682 Å, I = 34; hkl 0 0 2, d = 2.645 Å, I = 29; hkl 2 2 -2, d = 1.934 Å, I = 40

---

Sr2HfMgCrO6: theoretical powder X-ray diffraction pattern (a wavelength of 1.5418 Å), based on a DFT-relaxed cell (PBE+U, the Materials Project).
Kinematic intensities with the Lorentz-polarization factor, no thermal factor.

Atomic structure:
```
data_Sr2HfMgCrO6
_chemical_formula_sum 'Sr4 Hf2 Mg2 Cr2 O12'
_symmetry_space_group_name_H-M 'I m m m'
_symmetry_Int_Tables_number 71
_symmetry_space_group_name_Hall '-I 2 2'
_cell_length_a 5.681
_cell_length_b 5.759
_cell_length_c 10.338
_cell_angle_alpha 90.00
_cell_angle_beta 90.00
_cell_angle_gamma 90.00
loop_
_atom_site_label
_atom_site_type_symbol
_atom_site_fract_x
_atom_site_fract_y
_atom_site_fract_z
Sr1 Sr 0.000 0.000 0.179
Hf1 Hf 0.000 0.500 0.500
Mg1 Mg 0.000 0.000 0.500
Cr1 Cr 0.000 0.500 0.000
O1 O 0.000 0.500 0.296
O2 O 0.247 0.256 0.000
```

The 10 most intense peaks (10° ≤ 2θ ≤ 90°), sorted by position:
hkl 0 0 2, d = 5.169 Å, I = 36; hkl 0 1 1, d = 5.031 Å, I = 58; hkl 1 1 2, d = 3.185 Å, I = 100; hkl 1 0 3, d = 2.946 Å, I = 42; hkl 0 2 0, d = 2.880 Å, I = 37; hkl 2 0 0, d = 2.840 Å, I = 36; hkl 2 1 1, d = 2.473 Å, I = 21; hkl 1 1 4, d = 2.178 Å, I = 27; hkl 1 2 3, d = 2.059 Å, I = 32; hkl 2 2 0, d = 2.022 Å, I = 46

---

HfCrO4: theoretical powder X-ray diffraction pattern (a wavelength of 1.5418 Å), based on a DFT-relaxed cell (PBE+U, the Materials Project).
Kinematic intensities with the Lorentz-polarization factor, no thermal factor.

Atomic structure:
```
data_HfCrO4
_chemical_formula_sum 'Hf4 Cr4 O16'
_symmetry_space_group_name_H-M 'P b c n'
_symmetry_Int_Tables_number 60
_cell_length_a 4.686
_cell_length_b 11.765
_cell_length_c 4.902
_cell_angle_alpha 90.00
_cell_angle_beta 90.00
_cell_angle_gamma 90.00
loop_
_symmetry_equiv_pos_as_xyz
'x,y,z'
'-x,-y,-z'
'-x+1/2,-y+1/2,z+1/2'
'x+1/2,y+1/2,-z+1/2'
'x+1/2,-y+1/2,-z'
'-x+1/2,y+1/2,z'
'-x,y,-z+1/2'
'x,-y,z+1/2'
loop_
_atom_site_label
_atom_site_type_symbol
_atom_site_fract_x
_atom_site_fract_y
_atom_site_fract_z
Hf1 Hf 0.000 0.173 0.250
Cr1 Cr 0.000 0.433 0.250
O1 O 0.223 0.314 0.087
O2 O 0.228 0.444 0.570
```

The 10 most intense peaks (10° ≤ 2θ ≤ 90°), sorted by position:
hkl 0 2 1, d = 3.766 Å, I = 22; hkl 1 1 1, d = 3.255 Å, I = 100; hkl 1 3 0, d = 3.007 Å, I = 45; hkl 0 4 1, d = 2.522 Å, I = 27; hkl 0 0 2, d = 2.451 Å, I = 13; hkl 1 3 2, d = 1.900 Å, I = 25; hkl 2 4 1, d = 1.716 Å, I = 28; hkl 2 0 2, d = 1.694 Å, I = 15; hkl 1 1 3, d = 1.530 Å, I = 13; hkl 1 7 1, d = 1.505 Å, I = 13